(1)
Simulated PXRD pattern
Compound: Dy6In3Os
Radiation: λ = 1.5418 Å (Cu Kα)
Structure: a DFT-relaxed cell (GGA-PBE, Alexandria)
No peak broadening, texture or thermal motion is included.

The 6 most intense peaks (2θ from 10° to 80°), low angle first:
| 2theta | I (rel.) |
| --- | --- |
| 33.2 | 26 |
| 33.7 | 77 |
| 34.1 | 100 |
| 34.2 | 63 |
| 48.4 | 20 |
| 61.2 | 19 |

Structural model:
Cell: 9.2666 5.2372 11.3581 Å, 90.00 107.49 90.00°
Space group P2_1/m (No. 11)
Inequivalent atoms, fractional coordinates:
Dy: 0.0427 0.2500 0.4158 [2 per cell]
Dy: 0.1921 0.7500 0.1682 [2 per cell]
Dy: 0.2853 0.2500 0.0051 [2 per cell]
Dy: 0.3532 0.7500 0.8307 [2 per cell]
Dy: 0.3763 0.2500 0.3443 [2 per cell]
Dy: 0.3942 0.2500 0.6465 [2 per cell]
In: 0.0129 0.7500 0.8806 [2 per cell]
In: 0.0955 0.2500 0.7204 [2 per cell]
In: 0.2748 0.7500 0.4759 [2 per cell]
Os: 0.4612 0.7500 0.0955 [2 per cell]



(2)
Simulated PXRD pattern
Compound: Ca3GeB2Pt9
Radiation: λ = 1.5418 Å (Cu Kα)
Structure: a DFT-relaxed cell (GGA-PBE, Alexandria)
No peak broadening, texture or thermal motion is included.

The 6 most intense peaks (2θ from 10° to 80°), low angle first:
| 2theta | I (rel.) |
| --- | --- |
| 20.2 | 41 |
| 29.6 | 33 |
| 37.2 | 100 |
| 41.2 | 87 |
| 64.4 | 27 |
| 73.1 | 19 |

Structural model:
Cell: 5.7884 5.7884 9.0632 Å, 90.00 90.00 120.00°
Space group P-3m1 (No. 164)
Inequivalent atoms, fractional coordinates:
Ca: 0.0000 0.0000 0.0000 [1 per cell]
Ca: 0.3333 0.6667 0.6071 [2 per cell]
Ge: 0.0000 0.0000 0.5000 [1 per cell]
B: 0.3333 0.6667 0.1509 [2 per cell]
Pt: 0.0000 0.5000 0.0000 [3 per cell]
Pt: 0.1625 0.3249 0.2852 [6 per cell]